Entry 1:
This entry pairs a crystal structure of PrDyAlGa with its simulated XRD peak list. Radiation: Cu Kα (weighted mean of Kα1 and Kα2). Structure: a cell relaxed with GGA-PBE.
Peak positions follow from Bragg's law for the DFT cell and can differ from measured ones.

Structure:
a b c (Å): 4.1693 6.0566 6.0566
angles (deg): 43.28 90.00 90.00
Sites, in units of the cell vectors:
Pr 0.0000 0.0000 0.0000
Dy 0.5000 0.2818 0.2818
Al 0.0000 0.7135 0.7135
Ga 0.5000 0.5714 0.5714

Main lines, by angle (2θ from 10° to 90°):
2theta, I_rel
21.39, 20
26.60, 43
30.38, 100
31.12, 53
31.79, 26
38.03, 41
40.38, 24
43.41, 20
49.01, 17
54.37, 22

=====

Entry 2:
This entry pairs a crystal structure of Pm14SmPb with its simulated XRD peak list. Radiation: Cu Kα (weighted mean of Kα1 and Kα2). Structure: a cell relaxed with GGA-PBE.
Peak positions follow from Bragg's law for the DFT cell and can differ from measured ones.

Structure:
a b c (Å): 7.2373 7.2373 10.2372
angles (deg): 90.00 90.00 90.00
Sites, in units of the cell vectors:
Pm 0.0000 0.0000 0.0000
Pm 0.0000 0.5000 0.0000
Pm 0.0000 0.5000 0.5000
Pm 0.2481 0.2481 0.2538
Pm 0.2481 0.2481 0.7462
Pm 0.2481 0.7519 0.2538
Pm 0.2481 0.7519 0.7462
Pm 0.5000 0.0000 0.0000
Pm 0.5000 0.0000 0.5000
Pm 0.5000 0.5000 0.0000
Pm 0.7519 0.2481 0.2538
Pm 0.7519 0.2481 0.7462
Pm 0.7519 0.7519 0.2538
Pm 0.7519 0.7519 0.7462
Sm 0.5000 0.5000 0.5000
Pb 0.0000 0.0000 0.5000

Main lines, by angle (2θ from 10° to 90°):
2theta, I_rel
30.25, 100
35.07, 51
50.43, 36
59.95, 43
62.91, 12
74.10, 6
82.08, 18
84.70, 16

=====

Entry 3:
This entry pairs a crystal structure of Sr3Sc with its simulated XRD peak list. Radiation: Cu Kα (weighted mean of Kα1 and Kα2). Structure: a cell relaxed with GGA-PBE.
Peak positions follow from Bragg's law for the DFT cell and can differ from measured ones.

Structure:
a b c (Å): 7.4671 7.4671 7.4671
angles (deg): 146.92 61.86 129.32
Sites, in units of the cell vectors:
Sr 0.0000 0.0000 0.0000
Sr 0.2717 0.4988 0.7729
Sr 0.7260 0.4988 0.2271
Sc 0.5001 0.0001 0.5000

Main lines, by angle (2θ from 10° to 90°):
2theta, I_rel
25.09, 12
27.89, 52
28.82, 100
39.85, 18
42.53, 9
49.92, 35
51.63, 18
59.69, 11
69.51, 8
83.24, 8